[1]
Starting from the PBE geometry in OQMD, the powder X-ray diffraction pattern of ErLuCu2As4 was computed for Cu Kα X-rays.
Intensities are scaled so that the largest is 100.

```
ErLuCu2As4
1.0
3.8811 0.0000 0.0000
0.0000 3.8811 0.0000
0.0000 0.0000 9.7352
Er Lu Cu As
1 1 2 4
direct
0.0000 0.0000 0.0000
0.5000 0.5000 0.5284
0.0000 0.5000 0.2655
0.5000 0.0000 0.2655
0.0000 0.0000 0.4303
0.0000 0.5000 0.7626
0.5000 0.0000 0.7626
0.5000 0.5000 0.1010
```

Peak list (12 most intense, 2θ = 5–70°, low angle first)
| 2θ/deg | d/Å | Rel. int. | (hkl) |
| --- | --- | --- | --- |
| 24.69 | 3.605 | 25 | 1 0 1 |
| 29.43 | 3.035 | 15 | 1 0 2 |
| 36.08 | 2.490 | 25 | 1 0 3 |
| 36.93 | 2.434 | 15 | 0 0 4 |
| 37.63 | 2.391 | 100 | 1 1 2 |
| 43.91 | 2.062 | 8 | 1 0 4 |
| 46.82 | 1.941 | 34 | 2 0 0 |
| 52.59 | 1.740 | 15 | 1 0 5 |
| 60.49 | 1.531 | 11 | 2 1 3 |
| 61.07 | 1.517 | 13 | 2 0 4 |
| 67.00 | 1.397 | 7 | 1 1 6 |
| 68.36 | 1.372 | 11 | 2 2 0 |

***

[2]
Starting from the PBE geometry in OQMD, the powder X-ray diffraction pattern of ErTmCu2As4 was computed for Cu Kα X-rays.
Intensities are scaled so that the largest is 100.

```
ErTmCu2As4
1.0
3.8866 0.0000 0.0000
0.0000 3.8866 0.0000
0.0000 0.0000 9.7570
Er Tm Cu As
1 1 2 4
direct
0.0000 0.0000 0.0000
0.5000 0.5000 0.5272
0.0000 0.5000 0.2639
0.5000 0.0000 0.2639
0.0000 0.0000 0.4278
0.0000 0.5000 0.7630
0.5000 0.0000 0.7630
0.5000 0.5000 0.1002
```

Peak list (12 most intense, 2θ = 5–70°, low angle first)
| 2θ/deg | d/Å | Rel. int. | (hkl) |
| --- | --- | --- | --- |
| 24.66 | 3.611 | 24 | 1 0 1 |
| 29.38 | 3.040 | 15 | 1 0 2 |
| 36.01 | 2.494 | 25 | 1 0 3 |
| 36.85 | 2.439 | 15 | 0 0 4 |
| 37.56 | 2.394 | 100 | 1 1 2 |
| 43.82 | 2.066 | 8 | 1 0 4 |
| 46.75 | 1.943 | 34 | 2 0 0 |
| 52.47 | 1.744 | 16 | 1 0 5 |
| 60.38 | 1.533 | 11 | 2 1 3 |
| 60.96 | 1.520 | 13 | 2 0 4 |
| 66.85 | 1.400 | 7 | 1 1 6 |
| 68.25 | 1.374 | 11 | 2 2 0 |